Computed powder X-ray diffraction pattern of BaV6O11 for a wavelength of 1.5418 Å, from a GGA+U-relaxed structure.

Principal peaks in the range 10° ≤ 2θ ≤ 90°, by intensity:
2θ (°)  Rel. int.
31.66  100
32.90  80
54.18  53
37.56  43
30.05  41
26.33  40

Structure:
a = 5.948 Å, b = 5.948 Å, c = 13.541 Å
α = 90.00°, β = 90.00°, γ = 120.59°
Atoms (fractional coordinates):
Ba 0.162 0.838 0.500
Ba 0.838 0.162 0.000
V 0.001 0.999 0.750
V 0.011 0.511 0.252
V 0.170 0.830 0.002
V 0.489 0.989 0.252
V 0.494 0.506 0.606
V 0.499 0.501 0.897
V 0.501 0.499 0.397
V 0.506 0.494 0.106
V 0.511 0.011 0.752
V 0.830 0.170 0.502
V 0.989 0.489 0.752
V 0.999 0.001 0.250
O 0.149 0.327 0.829
O 0.159 0.338 0.170
O 0.169 0.831 0.165
O 0.174 0.826 0.833
O 0.201 0.348 0.502
O 0.327 0.149 0.329
O 0.328 0.672 0.335
O 0.337 0.663 0.670
O 0.338 0.159 0.670
O 0.348 0.201 0.002
O 0.357 0.643 0.004
O 0.643 0.357 0.504
O 0.652 0.799 0.502
O 0.662 0.841 0.170
O 0.663 0.337 0.170
O 0.672 0.328 0.835
O 0.673 0.851 0.829
O 0.799 0.652 0.002
O 0.826 0.174 0.333
O 0.831 0.169 0.665
O 0.841 0.662 0.670
O 0.851 0.673 0.329